This entry pairs a crystal structure of Zr2N2O with its calculated PXRD pattern. Radiation: λ = 1.5418 Å (Cu Kα). Structure: a crystal structure in the Materials Project, relaxed with PBE.
Neutral-atom scattering factors, no anomalous dispersion.

Top 6 peaks for 2θ from 5° to 70°, in order of rising 2θ:
2θ/deg  d/Å  I_rel
21.23  4.185  17.6
30.19  2.961  100.0
30.26  2.954  32.5
35.02  2.562  37.4
50.39  1.811  41.2
59.90  1.544  23.3

Structure:
a b c (Å): 8.861 8.868 8.885
angles (deg): 109.44 109.38 109.45
Fractional positions:
Zr 0.000 0.000 0.000
Zr 0.003 0.500 0.491
Zr 0.043 0.785 0.322
Zr 0.219 0.749 0.044
Zr 0.247 0.039 0.780
Zr 0.256 0.532 0.275
Zr 0.284 0.317 0.534
Zr 0.467 0.293 0.249
Zr 0.501 0.072 0.571
Zr 0.509 0.566 0.072
Zr 0.549 0.784 0.821
Zr 0.725 0.256 0.033
Zr 0.756 0.544 0.796
Zr 0.768 0.034 0.286
Zr 0.796 0.819 0.535
Zr 0.973 0.286 0.753
N 0.019 0.762 0.563
N 0.026 0.265 0.521
N 0.029 0.082 0.797
N 0.214 0.263 0.255
N 0.222 0.494 0.012
N 0.252 0.074 0.553
N 0.308 0.811 0.321
N 0.496 0.304 0.014
N 0.516 0.526 0.817
N 0.529 0.568 0.332
N 0.741 0.761 0.738
N 0.763 0.303 0.825
N 0.790 0.801 0.274
N 0.795 0.045 0.058
N 0.983 0.499 0.243
N 0.983 0.771 0.054
O 0.268 0.997 0.021
O 0.289 0.587 0.562
O 0.479 0.982 0.767
O 0.482 0.814 0.050
O 0.533 0.295 0.510
O 0.709 0.025 0.510
O 0.719 0.275 0.304
O 0.993 0.547 0.750



This entry pairs a crystal structure of BaAsPd with its calculated PXRD pattern. Radiation: λ = 1.5418 Å (Cu Kα). Structure: a crystal structure in the Materials Project, relaxed with PBE.
Neutral-atom scattering factors, no anomalous dispersion.

Top 6 peaks for 2θ from 5° to 70°, in order of rising 2θ:
2θ/deg  d/Å  I_rel
29.89  2.989  100.0
37.23  2.415  18.1
41.08  2.197  41.1
51.63  1.770  21.2
56.63  1.625  31.6
68.01  1.379  18.6

Structure:
a b c (Å): 4.394 4.394 4.830
angles (deg): 90.00 90.00 120.00
Fractional positions:
Ba 0.000 0.000 0.000
As 0.667 0.333 0.500
Pd 0.333 0.667 0.500



This entry pairs a crystal structure of KYMg14O16 with its calculated PXRD pattern. Radiation: λ = 1.5418 Å (Cu Kα). Structure: a crystal structure in the Materials Project, relaxed with PBE.
Neutral-atom scattering factors, no anomalous dispersion.

Top 6 peaks for 2θ from 5° to 70°, in order of rising 2θ:
2θ/deg  d/Å  I_rel
10.13  8.731  11.0
35.41  2.535  29.7
40.61  2.222  54.6
41.36  2.183  100.0
59.36  1.557  59.5
59.93  1.543  27.9

Structure:
a b c (Å): 8.731 8.731 4.443
angles (deg): 90.00 90.00 90.00
Fractional positions:
K 0.000 0.000 0.000
Y 0.500 0.500 0.000
Mg 0.000 0.249 0.500
Mg 0.000 0.500 0.000
Mg 0.000 0.751 0.500
Mg 0.236 0.500 0.500
Mg 0.243 0.243 0.000
Mg 0.243 0.757 0.000
Mg 0.249 0.000 0.500
Mg 0.500 0.000 0.000
Mg 0.500 0.236 0.500
Mg 0.500 0.764 0.500
Mg 0.751 0.000 0.500
Mg 0.757 0.243 0.000
Mg 0.757 0.757 0.000
Mg 0.764 0.500 0.500
O 0.000 0.000 0.500
O 0.000 0.274 0.000
O 0.000 0.500 0.500
O 0.000 0.726 0.000
O 0.245 0.500 0.000
O 0.252 0.252 0.500
O 0.252 0.748 0.500
O 0.274 0.000 0.000
O 0.500 0.000 0.500
O 0.500 0.245 0.000
O 0.500 0.500 0.500
O 0.500 0.755 0.000
O 0.726 0.000 0.000
O 0.748 0.252 0.500
O 0.748 0.748 0.500
O 0.755 0.500 0.000



This entry pairs a crystal structure of ZnBi4O9 with its calculated PXRD pattern. Radiation: λ = 1.5418 Å (Cu Kα). Structure: a crystal structure in the Materials Project, relaxed with PBE.
Neutral-atom scattering factors, no anomalous dispersion.

Top 6 peaks for 2θ from 5° to 70°, in order of rising 2θ:
2θ/deg  d/Å  I_rel
26.74  3.333  100.0
29.61  3.017  75.8
30.71  2.912  23.3
33.54  2.672  23.1
33.74  2.656  21.4
46.11  1.969  21.9

Structure:
a b c (Å): 8.163 5.824 11.313
angles (deg): 90.00 129.07 90.00
Fractional positions:
Zn 0.000 0.196 0.250
Zn 0.000 0.804 0.750
Bi 0.198 0.310 0.055
Bi 0.198 0.690 0.555
Bi 0.397 0.249 0.863
Bi 0.397 0.751 0.363
Bi 0.603 0.249 0.637
Bi 0.603 0.751 0.137
Bi 0.802 0.310 0.445
Bi 0.802 0.690 0.945
O 0.129 0.366 0.620
O 0.129 0.634 0.120
O 0.184 0.110 0.202
O 0.184 0.890 0.702
O 0.269 0.480 0.430
O 0.269 0.520 0.930
O 0.276 0.047 0.967
O 0.276 0.953 0.467
O 0.500 0.444 0.250
O 0.500 0.556 0.750
O 0.724 0.047 0.533
O 0.724 0.953 0.033
O 0.731 0.480 0.070
O 0.731 0.520 0.570
O 0.816 0.110 0.298
O 0.816 0.890 0.798
O 0.871 0.366 0.880
O 0.871 0.634 0.380



This entry pairs a crystal structure of Nb2Zn2SbO8 with its calculated PXRD pattern. Radiation: λ = 1.5418 Å (Cu Kα). Structure: a crystal structure in the Materials Project, relaxed with PBE.
Neutral-atom scattering factors, no anomalous dispersion.

Top 6 peaks for 2θ from 5° to 70°, in order of rising 2θ:
2θ/deg  d/Å  I_rel
25.27  3.524  51.7
26.34  3.383  64.5
30.46  2.935  71.4
31.74  2.819  100.0
32.85  2.727  58.5
34.55  2.596  76.2

Structure:
a b c (Å): 5.462 5.904 10.744
angles (deg): 105.83 92.99 90.11
Fractional positions:
Nb 0.226 0.465 0.244
Nb 0.273 0.220 0.755
Nb 0.727 0.780 0.245
Nb 0.774 0.535 0.756
Zn 0.225 0.060 0.439
Zn 0.274 0.621 0.559
Zn 0.726 0.379 0.441
Zn 0.775 0.940 0.561
Sb 0.242 0.830 0.999
Sb 0.758 0.170 0.001
O 0.029 0.669 0.154
O 0.079 0.432 0.646
O 0.108 0.163 0.116
O 0.145 0.944 0.603
O 0.356 0.341 0.398
O 0.387 0.046 0.881
O 0.421 0.786 0.355
O 0.471 0.515 0.848
O 0.529 0.485 0.152
O 0.579 0.214 0.645
O 0.613 0.954 0.119
O 0.644 0.659 0.602
O 0.855 0.056 0.397
O 0.892 0.837 0.884
O 0.921 0.568 0.354
O 0.971 0.331 0.846



This entry pairs a crystal structure of Mg14ZrAl with its calculated PXRD pattern. Radiation: λ = 1.5418 Å (Cu Kα). Structure: a crystal structure in the Materials Project, relaxed with PBE.
Neutral-atom scattering factors, no anomalous dispersion.

Top 6 peaks for 2θ from 5° to 70°, in order of rising 2θ:
2θ/deg  d/Å  I_rel
8.64  10.240  24.4
32.93  2.720  26.6
35.05  2.560  40.4
36.76  2.445  54.9
37.44  2.402  100.0
69.45  1.353  20.0

Structure:
a b c (Å): 10.240 6.379 6.379
angles (deg): 58.51 90.00 90.00
Fractional positions:
Mg 0.000 0.000 0.000
Mg 0.000 0.001 0.499
Mg 0.000 0.499 0.001
Mg 0.000 0.499 0.499
Mg 0.250 0.664 0.664
Mg 0.253 0.167 0.665
Mg 0.253 0.665 0.167
Mg 0.254 0.164 0.164
Mg 0.500 0.503 0.998
Mg 0.500 0.998 0.503
Mg 0.746 0.164 0.164
Mg 0.747 0.167 0.665
Mg 0.747 0.665 0.167
Mg 0.750 0.664 0.664
Zr 0.500 0.503 0.503
Al 0.500 0.997 0.997



This entry pairs a crystal structure of Mg6TiAlO8 with its calculated PXRD pattern. Radiation: λ = 1.5418 Å (Cu Kα). Structure: a crystal structure in the Materials Project, relaxed with PBE.
Neutral-atom scattering factors, no anomalous dispersion.

Top 6 peaks for 2θ from 5° to 70°, in order of rising 2θ:
2θ/deg  d/Å  I_rel
29.34  3.044  4.1
36.13  2.486  23.7
41.87  2.158  100.0
42.16  2.144  46.5
60.70  1.526  28.3
60.92  1.521  53.4

Structure:
a b c (Å): 4.315 4.315 8.574
angles (deg): 90.00 90.00 90.00
Fractional positions:
Mg 0.000 0.000 0.000
Mg 0.000 0.000 0.500
Mg 0.000 0.500 0.248
Mg 0.000 0.500 0.752
Mg 0.500 0.000 0.248
Mg 0.500 0.000 0.752
Ti 0.500 0.500 0.000
Al 0.500 0.500 0.500
O 0.000 0.000 0.250
O 0.000 0.000 0.750
O 0.000 0.500 0.000
O 0.000 0.500 0.500
O 0.500 0.000 0.000
O 0.500 0.000 0.500
O 0.500 0.500 0.280
O 0.500 0.500 0.720



This entry pairs a crystal structure of Mg9Si5 with its calculated PXRD pattern. Radiation: λ = 1.5418 Å (Cu Kα). Structure: a crystal structure in the Materials Project, relaxed with PBE.
Neutral-atom scattering factors, no anomalous dispersion.

Top 6 peaks for 2θ from 5° to 70°, in order of rising 2θ:
2θ/deg  d/Å  I_rel
34.31  2.614  64.6
37.17  2.419  60.3
37.43  2.402  100.0
41.13  2.195  56.1
43.95  2.060  48.3
45.18  2.007  35.4

Structure:
a b c (Å): 6.978 7.524 12.634
angles (deg): 90.76 105.19 117.62
Fractional positions:
Mg 0.000 0.000 0.000
Mg 0.019 0.367 0.374
Mg 0.031 0.029 0.733
Mg 0.062 0.741 0.504
Mg 0.143 0.416 0.898
Mg 0.167 0.415 0.667
Mg 0.240 0.090 0.351
Mg 0.291 0.456 0.201
Mg 0.358 0.967 0.919
Mg 0.497 0.070 0.194
Mg 0.535 0.737 0.585
Mg 0.560 0.743 0.058
Mg 0.639 0.153 0.739
Mg 0.686 0.134 0.503
Mg 0.727 0.839 0.346
Mg 0.816 0.310 0.023
Mg 0.859 0.609 0.792
Mg 0.916 0.652 0.200
Si 0.087 0.117 0.525
Si 0.138 0.699 0.039
Si 0.266 0.784 0.718
Si 0.325 0.771 0.365
Si 0.465 0.343 0.050
Si 0.469 0.361 0.853
Si 0.507 0.366 0.554
Si 0.567 0.733 0.839
Si 0.646 0.434 0.373
Si 0.902 0.084 0.191